Diffraction record for CsYMg6. The powder XRD pattern is calculated, not measured: it uses DFT lattice parameters and positions (GGA-PBE) and Cu Kα.
No peak broadening, texture or thermal motion is included.

Cell and atoms:
Unit cell a=5.432 b=7.353 c=11.908 alpha=90.00 beta=90.00 gamma=90.00
Space group Amm2 (No. 38)
Symmetry-distinct sites (fractional):
Cs (0.000, 0.000, 0.000) [2 per cell]
Y (0.000, 0.000, 0.508) [2 per cell]
Mg (0.000, 0.246, 0.248) [4 per cell]
Mg (0.500, 0.000, 0.330) [2 per cell]
Mg (0.500, 0.000, 0.809) [2 per cell]
Mg (0.500, 0.222, 0.595) [4 per cell]

Main lines, in order of falling intensity (2θ from 15° to 90°):
2theta	I (rel.)	h k l
33.0	100	2 0 0
34.3	32	1 0 4
22.2	31	1 0 2
28.5	27	0 2 2
16.3	27	1 0 0
44.2	16	2 2 2
58.9	14	3 2 2
30.0	13	0 0 4
29.3	13	1 2 0
63.3	12	2 2 6

Diffraction record for CsMg6Zn. The powder XRD pattern is calculated, not measured: it uses DFT lattice parameters and positions (GGA-PBE) and Cu Kα.
No peak broadening, texture or thermal motion is included.

Cell and atoms:
Unit cell a=5.226 b=5.953 c=18.392 alpha=90.00 beta=90.00 gamma=90.00
Space group Amm2 (No. 38)
Symmetry-distinct sites (fractional):
Cs (0.000, 0.000, 0.000) [2 per cell]
Mg (0.000, 0.248, 0.225) [4 per cell]
Mg (0.500, 0.000, 0.182) [2 per cell]
Mg (0.500, 0.000, 0.674) [2 per cell]
Mg (0.500, 0.244, 0.334) [4 per cell]
Zn (0.000, 0.000, 0.355) [2 per cell]

Main lines, in order of falling intensity (2θ from 15° to 90°):
2theta	I (rel.)	h k l
27.0	100	1 1 3
20.8	99	0 1 3
36.1	69	1 2 2
15.6	51	0 1 1
19.5	48	1 0 2
34.3	44	2 0 0
17.0	43	1 0 0
23.2	42	1 1 1
29.1	40	0 0 6
33.4	36	1 1 5

Diffraction record for CsMg6Zn. The powder XRD pattern is calculated, not measured: it uses DFT lattice parameters and positions (GGA-PBE) and Cu Kα.
No peak broadening, texture or thermal motion is included.

Cell and atoms:
Unit cell a=4.226 b=8.560 c=13.489 alpha=90.00 beta=90.00 gamma=90.00
Space group Amm2 (No. 38)
Symmetry-distinct sites (fractional):
Cs (0.000, 0.000, 0.000) [2 per cell]
Mg (0.000, 0.000, 0.546) [2 per cell]
Mg (0.000, 0.217, 0.240) [4 per cell]
Mg (0.500, 0.000, 0.732) [2 per cell]
Mg (0.500, 0.174, 0.403) [4 per cell]
Zn (0.500, 0.000, 0.228) [2 per cell]

Main lines, in order of falling intensity (2θ from 15° to 90°):
2theta	I (rel.)	h k l
32.6	100	1 2 2
24.4	38	1 1 1
24.9	35	1 0 2
26.4	28	0 0 4
20.8	26	0 2 0
30.9	20	1 1 3
33.8	19	0 2 4
22.3	16	0 1 3
43.2	16	1 3 3
42.8	16	2 0 0

Diffraction record for CsMnN. The powder XRD pattern is calculated, not measured: it uses DFT lattice parameters and positions (GGA-PBE) and Cu Kα.
No peak broadening, texture or thermal motion is included.

Cell and atoms:
Unit cell a=11.355 b=3.633 c=7.045 alpha=90.00 beta=90.00 gamma=90.00
Space group Pnma (No. 62)
Symmetry-distinct sites (fractional):
Cs (0.167, 0.250, 0.067) [4 per cell]
Mn (0.036, 0.250, 0.591) [4 per cell]
N (0.053, 0.750, 0.636) [4 per cell]

Main lines, in order of falling intensity (2θ from 15° to 90°):
2theta	I (rel.)	h k l
26.7	100	3 0 1
28.7	58	1 1 1
29.2	50	2 1 0
26.5	40	1 0 2
49.0	26	5 1 1
25.3	26	0 0 2
36.4	25	1 1 2
57.8	22	3 2 1
39.0	20	2 1 2
48.9	16	2 1 3